[1]
Diffraction record for Np2Si5Ni3. The PXRD pattern is simulated, not measured: it uses a crystal structure in Alexandria, relaxed with GGA-PBE and λ = 1.5418 Å (Cu Kα).
Intensities are scaled so that the largest is 1000.

Structural model:
```
data_Np2Si5Ni3
_chemical_formula_sum 'Np4 Si10 Ni6'
_cell_length_a 7.883
_cell_length_b 7.883
_cell_length_c 7.883
_cell_angle_alpha 105.03
_cell_angle_beta 89.74
_cell_angle_gamma 138.18
_space_group_name_H-M_alt 'P 1'
_space_group_IT_number 1
loop_
_space_group_symop_operation_xyz
'x,y,z'
loop_
_atom_site_label
_atom_site_type_symbol
_atom_site_fract_x
_atom_site_fract_y
_atom_site_fract_z
Np1 Np 0.134 0.235 0.369
Np2 Np 0.366 0.735 0.101
Np3 Np 0.634 0.265 0.899
Np4 Np 0.866 0.765 0.631
Si1 Si 0.021 0.750 0.271
Si2 Si 0.104 0.655 0.760
Si3 Si 0.250 0.250 0.000
Si4 Si 0.396 0.155 0.551
Si5 Si 0.479 0.750 0.729
Si6 Si 0.521 0.250 0.271
Si7 Si 0.604 0.845 0.449
Si8 Si 0.750 0.750 0.000
Si9 Si 0.896 0.345 0.240
Si10 Si 0.979 0.250 0.729
Ni1 Ni 0.136 0.891 0.027
Ni2 Ni 0.250 0.750 0.500
Ni3 Ni 0.364 0.391 0.755
Ni4 Ni 0.636 0.609 0.245
Ni5 Ni 0.750 0.250 0.500
Ni6 Ni 0.864 0.109 0.973
```

Principal peaks in the range 15 to 90 degrees two-theta, sorted by position:
18.50 deg, I = 330; 24.29 deg, I = 887; 31.81 deg, I = 268; 32.04 deg, I = 246; 36.08 deg, I = 1000; 37.05 deg, I = 569; 37.25 deg, I = 477; 45.77 deg, I = 467; 53.02 deg, I = 263; 59.49 deg, I = 242



[2]
Diffraction record for NpNi6Sn. The PXRD pattern is simulated, not measured: it uses a crystal structure in Alexandria, relaxed with GGA-PBE and λ = 1.5418 Å (Cu Kα).
Intensities are scaled so that the largest is 1000.

Structural model:
```
data_NpNi6Sn
_chemical_formula_sum 'Np1 Ni6 Sn1'
_cell_length_a 4.351
_cell_length_b 5.340
_cell_length_c 5.340
_cell_angle_alpha 60.05
_cell_angle_beta 90.00
_cell_angle_gamma 90.00
_space_group_name_H-M_alt 'P 1'
_space_group_IT_number 1
loop_
_space_group_symop_operation_xyz
'x,y,z'
loop_
_atom_site_label
_atom_site_type_symbol
_atom_site_fract_x
_atom_site_fract_y
_atom_site_fract_z
Np1 Np 0.000 0.000 0.000
Ni1 Ni 0.000 0.506 0.506
Ni2 Ni 0.000 0.507 0.986
Ni3 Ni 0.000 0.986 0.507
Ni4 Ni 0.500 0.355 0.822
Ni5 Ni 0.500 0.822 0.355
Ni6 Ni 0.500 0.823 0.823
Sn1 Sn 0.500 0.333 0.333
```

Principal peaks in the range 15 to 90 degrees two-theta, sorted by position:
19.19 deg, I = 156; 28.16 deg, I = 374; 38.94 deg, I = 257; 41.51 deg, I = 271; 44.36 deg, I = 1000; 58.22 deg, I = 155; 70.53 deg, I = 157; 77.72 deg, I = 184; 85.29 deg, I = 189; 87.23 deg, I = 135



[3]
Diffraction record for NpNiTe2. The PXRD pattern is simulated, not measured: it uses a crystal structure in Alexandria, relaxed with GGA-PBE and λ = 1.5418 Å (Cu Kα).
Intensities are scaled so that the largest is 1000.

Structural model:
```
data_NpNiTe2
_chemical_formula_sum 'Np4 Ni4 Te8'
_cell_length_a 8.545
_cell_length_b 4.105
_cell_length_c 11.591
_cell_angle_alpha 90.00
_cell_angle_beta 90.00
_cell_angle_gamma 90.00
_space_group_name_H-M_alt 'P 1'
_space_group_IT_number 1
loop_
_space_group_symop_operation_xyz
'x,y,z'
loop_
_atom_site_label
_atom_site_type_symbol
_atom_site_fract_x
_atom_site_fract_y
_atom_site_fract_z
Np1 Np 0.193 0.250 0.172
Np2 Np 0.307 0.750 0.672
Np3 Np 0.693 0.250 0.328
Np4 Np 0.807 0.750 0.828
Ni1 Ni 0.043 0.250 0.940
Ni2 Ni 0.457 0.750 0.440
Ni3 Ni 0.543 0.250 0.560
Ni4 Ni 0.957 0.750 0.060
Te1 Te 0.029 0.250 0.717
Te2 Te 0.223 0.750 0.955
Te3 Te 0.277 0.250 0.455
Te4 Te 0.471 0.750 0.217
Te5 Te 0.529 0.250 0.783
Te6 Te 0.723 0.750 0.545
Te7 Te 0.777 0.250 0.045
Te8 Te 0.971 0.750 0.283
```

Principal peaks in the range 15 to 90 degrees two-theta, sorted by position:
18.50 deg, I = 203; 30.19 deg, I = 184; 31.19 deg, I = 1000; 32.63 deg, I = 509; 33.54 deg, I = 607; 39.30 deg, I = 188; 39.50 deg, I = 223; 44.13 deg, I = 277; 45.31 deg, I = 199; 55.95 deg, I = 223